Starting from a DFT-relaxed cell (PBE+U, Alexandria), the X-ray diffraction stick pattern of Zn2Cr3O8 was computed for Cu Kα X-rays.
Kinematic intensities with the Lorentz-polarization factor, no thermal factor.

Top 10 peaks for 2θ = 10–80°, sorted by position:
- d 4.811, I 47, (2 0 0)
- d 3.181, I 47, (1 1 1)
- d 2.909, I 48, (2 0 1)
- d 2.841, I 82, (3 1 -1)
- d 2.821, I 75, (3 1 0)
- d 2.524, I 42, (2 2 0)
- d 2.516, I 100, (0 2 1)
- d 2.509, I 57, (2 0 -2)
- d 1.483, I 65, (0 4 0)
- d 1.469, I 44, (2 2 -3)

Crystal structure
```
data_Zn2Cr3O8
_symmetry_space_group_name_H-M 'C 1 2/m 1'
_symmetry_Int_Tables_number 12
_symmetry_space_group_name_Hall '-C 2y'
_cell_length_a 10.274
_cell_length_b 5.931
_cell_length_c 5.076
_cell_angle_alpha 90.00
_cell_angle_beta 110.54
_cell_angle_gamma 90.00
loop_
_atom_site_label
_atom_site_type_symbol
_atom_site_fract_x
_atom_site_fract_y
_atom_site_fract_z
Zn1 Zn 0.185 0.000 0.134
Cr1 Cr 0.000 0.240 0.500
Cr2 Cr 0.000 0.500 0.000
O1 O 0.101 0.266 0.249
O2 O 0.110 0.500 0.743
O3 O 0.112 0.000 0.714
```